No. 1
This entry pairs a crystal structure of CsSrCr2I8 with its computed powder diffraction line list. Radiation: Cu Kα. Structure: the PBE geometry in Alexandria.

Largest 10 diffraction maxima, sorted by position, 10° ≤ 2θ ≤ 80°:
(2 -1 3), 2θ = 24.43°, d = 3.644 Å, rel. 100
(0 0 9), 2θ = 24.77°, d = 3.595 Å, rel. 31
(1 1 6), 2θ = 28.38°, d = 3.145 Å, rel. 75
(3 0 0), 2θ = 40.35°, d = 2.235 Å, rel. 42
(2 -1 12), 2θ = 40.79°, d = 2.212 Å, rel. 36
(2 2 3), 2θ = 47.74°, d = 1.905 Å, rel. 15
(3 0 9), 2θ = 47.93°, d = 1.898 Å, rel. 29
(4 -2 6), 2θ = 50.07°, d = 1.822 Å, rel. 15
(5 -1 3), 2θ = 64.24°, d = 1.450 Å, rel. 13
(4 1 6), 2θ = 66.18°, d = 1.412 Å, rel. 13

Atomic structure:
```
data_CsSrCr2I8
_space_group_name_H-M_alt 'R -3'
_space_group_IT_number 148
_space_group_name_Hall '-R 3'
_cell_length_a 7.7425
_cell_length_b 7.7425
_cell_length_c 32.3513
_cell_angle_alpha 90.00
_cell_angle_beta 90.00
_cell_angle_gamma 120.00
loop_
_atom_site_label
_atom_site_type_symbol
_atom_site_fract_x
_atom_site_fract_y
_atom_site_fract_z
Cs1 Cs 0.0000 0.0000 0.0000
Sr1 Sr 0.0000 0.0000 0.5000
Cr1 Cr 0.0000 0.0000 0.2466
I1 I 0.0000 0.0000 0.3264
I2 I 0.0067 0.6825 0.8944
```

---

No. 2
This entry pairs a crystal structure of CeNdCrN4 with its computed powder diffraction line list. Radiation: Cu Kα. Structure: the PBE geometry in Alexandria.

Largest 10 diffraction maxima, sorted by position, 10° ≤ 2θ ≤ 80°:
(1 1 0), 2θ = 23.15°, d = 3.841 Å, rel. 100
(1 0 1), 2θ = 24.55°, d = 3.626 Å, rel. 21
(1 1 -2), 2θ = 31.52°, d = 2.838 Å, rel. 61
(0 1 2), 2θ = 31.83°, d = 2.811 Å, rel. 35
(0 2 0), 2θ = 32.73°, d = 2.736 Å, rel. 55
(2 0 0), 2θ = 33.22°, d = 2.697 Å, rel. 33
(2 0 -2), 2θ = 35.60°, d = 2.522 Å, rel. 34
(2 1 -2), 2θ = 39.32°, d = 2.291 Å, rel. 30
(1 1 2), 2θ = 40.09°, d = 2.249 Å, rel. 39
(2 2 0), 2θ = 47.33°, d = 1.921 Å, rel. 34

Atomic structure:
```
data_CeNdCrN4
_space_group_name_H-M_alt 'P 1 21/m 1'
_space_group_IT_number 11
_cell_length_a 5.7029
_cell_length_b 5.4724
_cell_length_c 6.9293
_cell_angle_alpha 90.00
_cell_angle_beta 108.96
_cell_angle_gamma 90.00
loop_
_space_group_symop_operation_xyz
'x,y,z'
'-x,-y,-z'
'-x,y+1/2,-z'
'x,-y+1/2,z'
loop_
_atom_site_label
_atom_site_type_symbol
_atom_site_fract_x
_atom_site_fract_y
_atom_site_fract_z
Ce1 Ce 0.2121 0.2500 0.0388
Nd1 Nd 0.2863 0.2500 0.5682
Cr1 Cr 0.2352 0.7500 0.7980
N1 N 0.0331 0.5023 0.7454
N2 N 0.4055 0.7500 0.0574
N3 N 0.4389 0.7500 0.6520
```

---

No. 3
This entry pairs a crystal structure of Ce2ZnTe2N2 with its computed powder diffraction line list. Radiation: Cu Kα. Structure: the PBE geometry in Alexandria.

Largest 10 diffraction maxima, sorted by position, 10° ≤ 2θ ≤ 80°:
(1 1 1), 2θ = 30.21°, d = 2.958 Å, rel. 100
(4 0 -1), 2θ = 32.19°, d = 2.781 Å, rel. 44
(2 0 -3), 2θ = 34.67°, d = 2.587 Å, rel. 33
(3 1 -2), 2θ = 34.87°, d = 2.573 Å, rel. 68
(2 0 2), 2θ = 40.87°, d = 2.208 Å, rel. 15
(0 2 0), 2θ = 45.53°, d = 1.992 Å, rel. 19
(5 1 0), 2θ = 53.10°, d = 1.725 Å, rel. 18
(4 2 -1), 2θ = 56.86°, d = 1.619 Å, rel. 18
(2 2 -3), 2θ = 58.47°, d = 1.578 Å, rel. 14
(7 1 -3), 2θ = 62.02°, d = 1.496 Å, rel. 14

Atomic structure:
```
data_Ce2ZnTe2N2
_space_group_name_H-M_alt 'C 1 2/m 1'
_space_group_IT_number 12
_cell_length_a 11.3600
_cell_length_b 3.9842
_cell_length_c 7.7987
_cell_angle_alpha 90.00
_cell_angle_beta 122.63
_cell_angle_gamma 90.00
loop_
_space_group_symop_operation_xyz
'x,y,z'
'-x,-y,-z'
'-x,y,-z'
'x,-y,z'
'x+1/2,y+1/2,z'
'-x+1/2,-y+1/2,-z'
'-x+1/2,y+1/2,-z'
'x+1/2,-y+1/2,z'
loop_
_atom_site_label
_atom_site_type_symbol
_atom_site_fract_x
_atom_site_fract_y
_atom_site_fract_z
Ce1 Ce 0.1974 0.0000 0.2798
Zn1 Zn 0.0000 0.0000 0.5000
Te1 Te 0.0738 0.5000 0.8515
N1 N 0.1947 0.0000 0.5712
```

---

No. 4
This entry pairs a crystal structure of LaBiPtS2 with its computed powder diffraction line list. Radiation: Cu Kα. Structure: the PBE geometry in Alexandria.

Largest 10 diffraction maxima, sorted by position, 10° ≤ 2θ ≤ 80°:
(1 0 0), 2θ = 16.91°, d = 5.242 Å, rel. 69
(1 1 0), 2θ = 24.01°, d = 3.707 Å, rel. 100
(2 0 0), 2θ = 34.21°, d = 2.621 Å, rel. 69
(0 0 2), 2θ = 35.23°, d = 2.547 Å, rel. 32
(1 1 2), 2θ = 43.09°, d = 2.099 Å, rel. 45
(2 2 0), 2θ = 49.16°, d = 1.853 Å, rel. 25
(2 0 2), 2θ = 49.92°, d = 1.827 Å, rel. 47
(3 1 0), 2θ = 55.42°, d = 1.658 Å, rel. 22
(2 2 2), 2θ = 61.91°, d = 1.499 Å, rel. 25
(3 1 2), 2θ = 67.40°, d = 1.389 Å, rel. 25

Atomic structure:
```
data_LaBiPtS2
_space_group_name_H-M_alt 'P 4/m m m'
_space_group_IT_number 123
_space_group_name_Hall '-P 4 2'
_cell_length_a 5.2424
_cell_length_b 5.2424
_cell_length_c 5.0944
_cell_angle_alpha 90.00
_cell_angle_beta 90.00
_cell_angle_gamma 90.00
loop_
_atom_site_label
_atom_site_type_symbol
_atom_site_fract_x
_atom_site_fract_y
_atom_site_fract_z
La1 La 0.0000 0.0000 0.0000
Bi1 Bi 0.5000 0.5000 0.5000
Pt1 Pt 0.5000 0.5000 0.0000
S1 S 0.0000 0.5000 0.5000
```

---

No. 5
This entry pairs a crystal structure of EuInSbPb with its computed powder diffraction line list. Radiation: Cu Kα. Structure: the PBE geometry in Alexandria.

Largest 10 diffraction maxima, sorted by position, 10° ≤ 2θ ≤ 80°:
(1 1 1), 2θ = 19.58°, d = 4.533 Å, rel. 2
(2 0 0), 2θ = 22.65°, d = 3.926 Å, rel. 4
(2 2 0), 2θ = 32.25°, d = 2.776 Å, rel. 100
(2 2 2), 2θ = 39.77°, d = 2.267 Å, rel. 2
(4 0 0), 2θ = 46.25°, d = 1.963 Å, rel. 18
(4 2 0), 2θ = 52.09°, d = 1.756 Å, rel. 2
(4 2 2), 2θ = 57.50°, d = 1.603 Å, rel. 38
(4 4 0), 2θ = 67.48°, d = 1.388 Å, rel. 12
(6 0 0), 2θ = 72.19°, d = 1.309 Å, rel. 1
(6 2 0), 2θ = 76.77°, d = 1.241 Å, rel. 17

Atomic structure:
```
data_EuInSbPb
_space_group_name_H-M_alt 'F -4 3 m'
_space_group_IT_number 216
_space_group_name_Hall 'F -4 2 3'
_cell_length_a 7.8519
_cell_length_b 7.8519
_cell_length_c 7.8519
_cell_angle_alpha 90.00
_cell_angle_beta 90.00
_cell_angle_gamma 90.00
loop_
_atom_site_label
_atom_site_type_symbol
_atom_site_fract_x
_atom_site_fract_y
_atom_site_fract_z
Eu1 Eu 0.0000 0.0000 0.0000
In1 In 0.2500 0.2500 0.7500
Sb1 Sb 0.2500 0.2500 0.2500
Pb1 Pb 0.0000 0.0000 0.5000
```